(1)
Na3GaB4O9: computed powder X-ray diffraction pattern (Cu Kα, 1.54184 Å), based on a DFT-relaxed cell (PBE, Alexandria).
Neutral-atom scattering factors, no anomalous dispersion.

```
data_Na3GaB4O9
_symmetry_space_group_name_H-M 'P 1 21/m 1'
_symmetry_Int_Tables_number 11
_cell_length_a 6.309
_cell_length_b 8.804
_cell_length_c 6.906
_cell_angle_alpha 90.00
_cell_angle_beta 98.81
_cell_angle_gamma 90.00
loop_
_symmetry_equiv_pos_as_xyz
'x,y,z'
'-x,-y,-z'
'-x,y+1/2,-z'
'x,-y+1/2,z'
loop_
_atom_site_label
_atom_site_type_symbol
_atom_site_fract_x
_atom_site_fract_y
_atom_site_fract_z
Na1 Na 0.079 0.250 0.007
Na2 Na 0.247 0.535 0.324
Ga1 Ga 0.297 0.250 0.638
B1 B 0.254 0.545 0.780
B2 B 0.376 0.750 0.023
B3 B 0.488 0.250 0.284
O1 O 0.140 0.087 0.723
O2 O 0.234 0.611 0.958
O3 O 0.289 0.250 0.369
O4 O 0.380 0.609 0.654
O5 O 0.423 0.750 0.235
O6 O 0.436 0.250 0.072
```

The 10 most intense peaks (2θ = 10–90°), by intensity:
| 2theta | I/Imax | hkl |
| --- | --- | --- |
| 33.8 | 100 | 1 3 0 |
| 34.6 | 71 | 1 2 -2 |
| 39.6 | 62 | 0 0 3 |
| 28.6 | 59 | 2 0 0 |
| 20.7 | 57 | 1 0 1 |
| 17.4 | 53 | 1 1 0 |
| 23.1 | 52 | 1 1 1 |
| 14.2 | 51 | 1 0 0 |
| 20.2 | 48 | 0 2 0 |
| 16.4 | 38 | 0 1 1 |

(2)
Cr2RuSe2: computed powder X-ray diffraction pattern (Cu Kα, 1.54184 Å), based on a DFT-relaxed cell (PBE, Alexandria).
Neutral-atom scattering factors, no anomalous dispersion.

```
data_Cr2RuSe2
_symmetry_space_group_name_H-M 'I 4/m m m'
_symmetry_Int_Tables_number 139
_symmetry_space_group_name_Hall '-I 4 2'
_cell_length_a 4.485
_cell_length_b 4.485
_cell_length_c 7.850
_cell_angle_alpha 90.00
_cell_angle_beta 90.00
_cell_angle_gamma 90.00
loop_
_atom_site_label
_atom_site_type_symbol
_atom_site_fract_x
_atom_site_fract_y
_atom_site_fract_z
Cr1 Cr 0.000 0.000 0.123
Ru1 Ru 0.000 0.000 0.500
Se1 Se 0.000 0.500 0.250
```

The 10 most intense peaks (2θ = 10–90°), by intensity:
| 2theta | I/Imax | hkl |
| --- | --- | --- |
| 36.4 | 100 | 1 1 2 |
| 40.2 | 73 | 2 0 0 |
| 39.9 | 34 | 1 0 3 |
| 70.6 | 28 | 3 1 2 |
| 58.2 | 24 | 2 2 0 |
| 57.9 | 21 | 2 1 3 |
| 55.0 | 11 | 1 1 4 |
| 77.2 | 9 | 2 1 5 |
| 79.2 | 9 | 1 1 6 |
| 62.7 | 9 | 1 0 5 |

(3)
SnBi2Pd7Pb2: computed powder X-ray diffraction pattern (Cu Kα, 1.54184 Å), based on a DFT-relaxed cell (PBE, Alexandria).
Neutral-atom scattering factors, no anomalous dispersion.

```
data_SnBi2Pd7Pb2
_symmetry_space_group_name_H-M 'C 1 2/m 1'
_symmetry_Int_Tables_number 12
_cell_length_a 5.741
_cell_length_b 5.683
_cell_length_c 15.708
_cell_angle_alpha 90.00
_cell_angle_beta 96.51
_cell_angle_gamma 90.00
loop_
_symmetry_equiv_pos_as_xyz
'x,y,z'
'-x,-y,-z'
'-x,y,-z'
'x,-y,z'
'x+1/2,y+1/2,z'
'-x+1/2,-y+1/2,-z'
'-x+1/2,y+1/2,-z'
'x+1/2,-y+1/2,z'
loop_
_atom_site_label
_atom_site_type_symbol
_atom_site_fract_x
_atom_site_fract_y
_atom_site_fract_z
Sn1 Sn 0.000 0.000 0.000
Bi1 Bi 0.133 0.000 0.397
Pd1 Pd 0.000 0.500 0.000
Pd2 Pd 0.159 0.500 0.436
Pd3 Pd 0.210 0.250 0.872
Pb1 Pb 0.079 0.500 0.253
```

The 10 most intense peaks (2θ = 10–90°), by intensity:
| 2theta | I/Imax | hkl |
| --- | --- | --- |
| 44.9 | 100 | 2 2 -1 |
| 25.7 | 56 | 1 1 2 |
| 43.0 | 51 | 0 2 5 |
| 41.3 | 47 | 2 0 4 |
| 32.0 | 44 | 0 2 1 |
| 31.5 | 44 | 0 2 0 |
| 30.6 | 43 | 1 1 -4 |
| 32.2 | 39 | 2 0 -2 |
| 33.2 | 38 | 1 1 4 |
| 36.0 | 37 | 0 2 3 |